Record 1
La2Cu2O5: calculated XRD peak list (Cu Kα), based on the PBE geometry in the Materials Project.

The 6 most intense peaks (5 to 70 degrees two-theta), low angle first:
d 3.056, rel. 43, hkl 0 2 -3
d 2.850, rel. 50, hkl 1 1 0
d 2.826, rel. 64, hkl -1 2 1
d 2.780, rel. 72, hkl 0 1 4
d 2.744, rel. 100, hkl 1 -1 3
d 2.701, rel. 73, hkl 1 0 -4

a = 3.768 Å, b = 7.217 Å, c = 13.908 Å
α = 100.51°, β = 96.84°, γ = 105.00°
Space group P-1 (No. 2)
One atom of each set of equivalent atoms:
La (0.075, 0.308, 0.269) x2
La (0.141, 0.276, 0.537) x2
La (0.287, 0.250, 0.805) x2
Cu (0.165, 0.631, 0.942) x2
Cu (0.297, 0.024, 0.079) x2
Cu (0.446, 0.014, 0.362) x2
O (0.053, 0.984, 0.638) x2
O (0.092, 0.659, 0.078) x2
O (0.176, 0.913, 0.929) x2
O (0.279, 0.656, 0.325) x2
O (0.331, 0.624, 0.583) x2
O (0.377, 0.024, 0.221) x2
O (0.404, 0.592, 0.825) x2
O (0.500, 0.000, 0.500) x1

Record 2
La6Cu6O17: calculated XRD peak list (Cu Kα), based on the PBE geometry in the Materials Project.

The 6 most intense peaks (5 to 70 degrees two-theta), low angle first:
d 3.381, rel. 29, hkl 1 3 0
d 3.351, rel. 50, hkl 2 0 0
d 2.913, rel. 100, hkl 1 3 -2
d 2.772, rel. 43, hkl 1 3 2
d 2.616, rel. 39, hkl 0 0 4
d 1.960, rel. 33, hkl 0 6 0

a = 6.742 Å, b = 11.749 Å, c = 10.525 Å
α = 90.00°, β = 96.18°, γ = 90.00°
Space group C2/m (No. 12)
One atom of each set of equivalent atoms:
La (0.025, 0.000, 0.242) x4
La (0.028, 0.334, 0.260) x8
Cu (0.000, 0.163, 0.500) x4
Cu (0.000, 0.500, 0.000) x2
Cu (0.000, 0.500, 0.500) x2
Cu (0.250, 0.250, 0.000) x4
O (0.000, 0.000, 0.500) x2
O (0.000, 0.331, 0.500) x4
O (0.000, 0.334, 0.000) x4
O (0.118, 0.162, 0.667) x8
O (0.133, 0.500, 0.663) x4
O (0.174, 0.500, 0.149) x4
O (0.185, 0.169, 0.143) x8

Record 3
La2Cu2O5: calculated XRD peak list (Cu Kα), based on the PBE geometry in the Materials Project.

The 6 most intense peaks (5 to 70 degrees two-theta), low angle first:
d 4.284, rel. 32, hkl 1 0 1
d 2.979, rel. 35, hkl 2 1 0
d 2.862, rel. 81, hkl 2 0 1
d 2.798, rel. 37, hkl 0 0 2
d 2.629, rel. 100, hkl 1 2 1
d 2.039, rel. 68, hkl 2 1 2

a = 6.661 Å, b = 6.661 Å, c = 5.595 Å
α = 90.00°, β = 90.00°, γ = 90.00°
Space group P4_2/m (No. 84)
One atom of each set of equivalent atoms:
La (0.111, 0.266, 0.000) x4
Cu (0.313, 0.410, 0.500) x4
O (0.000, 0.000, 0.250) x2
O (0.212, 0.593, 0.241) x8

Record 4
La8Cu3O16: calculated XRD peak list (Cu Kα), based on the PBE geometry in the Materials Project.

The 6 most intense peaks (5 to 70 degrees two-theta), low angle first:
d 3.619, rel. 35, hkl 0 2 -2
d 2.853, rel. 100, hkl 0 3 -1
d 2.667, rel. 34, hkl 2 -2 2
d 2.658, rel. 34, hkl 2 1 -3
d 2.152, rel. 23, hkl 0 4 0
d 1.883, rel. 33, hkl 0 3 -5

a = 7.536 Å, b = 8.860 Å, c = 11.616 Å
α = 93.66°, β = 99.17°, γ = 102.41°
Space group P-1 (No. 2)
One atom of each set of equivalent atoms:
La (0.170, 0.206, 0.016) x2
La (0.175, 0.448, 0.777) x2
La (0.187, 0.706, 0.517) x2
La (0.192, 0.951, 0.278) x2
La (0.309, 0.796, 0.981) x2
La (0.313, 0.547, 0.225) x2
La (0.325, 0.297, 0.482) x2
La (0.329, 0.049, 0.726) x2
Cu (0.000, 0.000, 0.500) x1
Cu (0.000, 0.250, 0.250) x2
Cu (0.500, 0.251, 0.250) x2
Cu (0.500, 0.500, 0.000) x1
O (0.001, 0.375, 0.129) x2
O (0.002, 0.879, 0.627) x2
O (0.082, 0.234, 0.634) x2
O (0.085, 0.737, 0.136) x2
O (0.100, 0.973, 0.892) x2
O (0.101, 0.474, 0.390) x2
O (0.244, 0.004, 0.502) x2
O (0.248, 0.746, 0.748) x2
O (0.249, 0.246, 0.248) x2
O (0.259, 0.503, 0.002) x2
O (0.398, 0.771, 0.356) x2
O (0.399, 0.275, 0.857) x2
O (0.418, 0.016, 0.119) x2
O (0.418, 0.518, 0.617) x2
O (0.498, 0.868, 0.625) x2
O (0.499, 0.370, 0.122) x2

Record 5
La5Cu5O13: calculated XRD peak list (Cu Kα), based on the PBE geometry in the Materials Project.

The 6 most intense peaks (5 to 70 degrees two-theta), low angle first:
d 2.727, rel. 100, hkl 1 1 2
d 2.711, rel. 24, hkl 1 0 -3
d 2.702, rel. 24, hkl 3 0 1
d 1.944, rel. 19, hkl 0 2 0
d 1.579, rel. 18, hkl 3 2 1
d 1.569, rel. 12, hkl 3 1 -4

a = 8.552 Å, b = 3.888 Å, c = 8.565 Å
α = 90.00°, β = 90.22°, γ = 90.00°
Space group P2/m (No. 10)
One atom of each set of equivalent atoms:
La (0.000, 0.000, 0.000) x1
La (0.226, 0.000, 0.360) x2
La (0.361, 0.000, 0.774) x2
Cu (0.073, 0.500, 0.669) x2
Cu (0.334, 0.500, 0.075) x2
Cu (0.500, 0.500, 0.500) x1
O (0.071, 0.000, 0.680) x2
O (0.106, 0.500, 0.200) x2
O (0.211, 0.500, 0.889) x2
O (0.257, 0.500, 0.543) x2
O (0.323, 0.000, 0.073) x2
O (0.453, 0.500, 0.264) x2
O (0.500, 0.000, 0.500) x1

Record 6
LaCu2O4: calculated XRD peak list (Cu Kα), based on the PBE geometry in the Materials Project.

The 6 most intense peaks (5 to 70 degrees two-theta), low angle first:
d 3.186, rel. 50, hkl 1 1 2
d 2.864, rel. 46, hkl 1 0 3
d 2.557, rel. 100, hkl 1 2 1
d 2.536, rel. 25, hkl 2 0 2
d 1.750, rel. 23, hkl 3 1 2
d 1.593, rel. 28, hkl 2 2 4

a = 5.923 Å, b = 5.923 Å, c = 9.817 Å
α = 90.00°, β = 90.00°, γ = 90.00°
Space group I4_1/a (No. 88, origin choice 2)
One atom of each set of equivalent atoms:
La (0.000, 0.250, 0.125) x4
Cu (0.000, 0.000, 0.500) x8
O (0.145, 0.472, 0.325) x16

Record 7
La2CuO4: calculated XRD peak list (Cu Kα), based on the PBE geometry in the Materials Project.

The 6 most intense peaks (5 to 70 degrees two-theta), low angle first:
d 2.881, rel. 100, hkl 1 3 1
d 2.705, rel. 33, hkl 0 0 2
d 2.697, rel. 33, hkl 2 0 0
d 2.168, rel. 22, hkl 1 5 1
d 2.088, rel. 26, hkl 2 4 0
d 1.910, rel. 32, hkl 2 0 2

a = 5.393 Å, b = 13.168 Å, c = 5.410 Å
α = 90.00°, β = 90.00°, γ = 90.00°
Space group Fmm2 (No. 42)
One atom of each set of equivalent atoms:
La (0.000, 0.139, 0.000) x8
Cu (0.000, 0.000, 0.498) x4
O (0.000, 0.186, 0.473) x8
O (0.248, 0.000, 0.749) x8

Record 8
La2CuO4: calculated XRD peak list (Cu Kα), based on the PBE geometry in the Materials Project.

The 6 most intense peaks (5 to 70 degrees two-theta), low angle first:
d 3.663, rel. 21, hkl 1 1 1
d 2.879, rel. 100, hkl 1 3 1
d 2.697, rel. 65, hkl 2 0 0
d 2.167, rel. 22, hkl 1 5 1
d 2.086, rel. 26, hkl 2 4 0
d 1.907, rel. 32, hkl 2 0 2

a = 5.388 Å, b = 13.163 Å, c = 5.400 Å
α = 90.00°, β = 90.00°, γ = 90.00°
Space group Cmce (No. 64)
One atom of each set of equivalent atoms:
La (0.000, 0.139, 0.005) x8
Cu (0.000, 0.000, 0.500) x4
O (0.000, 0.186, 0.486) x8
O (0.250, 0.001, 0.750) x8